The following is a calculated XRD peak list of CdBi8Cl10O8. It was derived from a crystal structure in the Materials Project, relaxed with GGA-PBE, using Cu Kα.
Intensities are scaled so that the largest is 1000.

Peak list (8 most intense, 2θ = 10–90°, by intensity)
Position (°2θ)  I (rel.)
25.88  1000
31.82  862
32.43  693
46.53  322
40.99  322
57.47  321
53.17  308
54.00  298

a = 18.4550 Å, b = 18.4550 Å, c = 5.5208 Å
α = 90.00°, β = 90.00°, γ = 162.79°
Element x y z (fractional)
Cd  0.0000  0.0000  0.0000
Bi  0.1117  0.8883  0.5000
Bi  0.1823  0.8177  0.0000
Bi  0.3184  0.6816  0.5000
Bi  0.3883  0.6117  0.0000
Bi  0.6117  0.3883  0.0000
Bi  0.6816  0.3184  0.5000
Bi  0.8177  0.1823  0.0000
Bi  0.8883  0.1117  0.5000
Cl  0.0000  0.0000  0.5000
Cl  0.0742  0.9258  0.0000
Cl  0.2192  0.7808  0.5000
Cl  0.2808  0.7192  0.0000
Cl  0.4251  0.5749  0.5000
Cl  0.5000  0.5000  0.0000
Cl  0.5749  0.4251  0.5000
Cl  0.7192  0.2808  0.0000
Cl  0.7808  0.2192  0.5000
Cl  0.9258  0.0742  0.0000
O  0.1020  0.3955  0.2487
O  0.1020  0.3955  0.7513
O  0.3955  0.1020  0.2487
O  0.3955  0.1020  0.7513
O  0.6045  0.8980  0.2487
O  0.6045  0.8980  0.7513
O  0.8980  0.6045  0.2487
O  0.8980  0.6045  0.7513